(1)
Structure and calculated PXRD pattern of Pu2BeGe4Pt3 (a GGA-PBE-relaxed structure; CuKα).
Neutral-atom scattering factors, no anomalous dispersion.

Peak list (10 most intense, 5 to 70 degrees two-theta, sorted by position)
2θ = 22.82°, intensity 144; 2θ = 27.17°, intensity 294; 2θ = 30.14°, intensity 404; 2θ = 33.26°, intensity 916; 2θ = 34.71°, intensity 1000; 2θ = 43.15°, intensity 661; 2θ = 48.31°, intensity 452; 2θ = 55.55°, intensity 437; 2θ = 62.67°, intensity 221; 2θ = 66.75°, intensity 348

Crystal structure
a = 4.193 Å, b = 4.193 Å, c = 10.545 Å
α = 90.00°, β = 90.00°, γ = 90.00°
Positions (direct):
Pu 0.000 0.500 0.239
Pu 0.500 0.000 0.761
Be 0.500 0.500 0.000
Ge 0.000 0.000 0.500
Ge 0.000 0.500 0.870
Ge 0.500 0.000 0.130
Ge 0.500 0.500 0.500
Pt 0.000 0.000 0.000
Pt 0.000 0.500 0.635
Pt 0.500 0.000 0.365

***

(2)
Structure and calculated PXRD pattern of Sm2Be3GePt4 (a GGA-PBE-relaxed structure; CuKα).
Neutral-atom scattering factors, no anomalous dispersion.

Peak list (10 most intense, 5 to 70 degrees two-theta, sorted by position)
2θ = 27.63°, intensity 264; 2θ = 28.38°, intensity 379; 2θ = 31.96°, intensity 545; 2θ = 35.27°, intensity 368; 2θ = 35.87°, intensity 1000; 2θ = 43.76°, intensity 554; 2θ = 52.14°, intensity 225; 2θ = 52.55°, intensity 187; 2θ = 57.41°, intensity 182; 2θ = 63.62°, intensity 184

Crystal structure
a = 4.137 Å, b = 4.137 Å, c = 9.684 Å
α = 90.00°, β = 90.00°, γ = 90.00°
Positions (direct):
Sm 0.000 0.500 0.247
Sm 0.500 0.000 0.753
Be 0.000 0.500 0.881
Be 0.500 0.000 0.119
Be 0.500 0.500 0.500
Ge 0.000 0.000 0.500
Pt 0.000 0.000 0.000
Pt 0.000 0.500 0.640
Pt 0.500 0.000 0.360
Pt 0.500 0.500 0.000

***

(3)
Structure and calculated PXRD pattern of Y2BeGe3Pt4 (a GGA-PBE-relaxed structure; CuKα).
Neutral-atom scattering factors, no anomalous dispersion.

Peak list (10 most intense, 5 to 70 degrees two-theta, sorted by position)
2θ = 22.87°, intensity 296; 2θ = 26.24°, intensity 259; 2θ = 31.33°, intensity 739; 2θ = 33.93°, intensity 717; 2θ = 34.93°, intensity 1000; 2θ = 43.01°, intensity 897; 2θ = 46.97°, intensity 671; 2θ = 49.72°, intensity 269; 2θ = 55.87°, intensity 342; 2θ = 62.45°, intensity 297

Crystal structure
a = 4.206 Å, b = 4.206 Å, c = 10.188 Å
α = 90.00°, β = 90.00°, γ = 90.00°
Positions (direct):
Y 0.000 0.500 0.238
Y 0.500 0.000 0.762
Be 0.500 0.500 0.000
Ge 0.000 0.000 0.000
Ge 0.000 0.500 0.640
Ge 0.500 0.000 0.360
Pt 0.000 0.000 0.500
Pt 0.000 0.500 0.877
Pt 0.500 0.000 0.123
Pt 0.500 0.500 0.500

***

(4)
Structure and calculated PXRD pattern of Y2BeGePt6 (a GGA-PBE-relaxed structure; CuKα).
Neutral-atom scattering factors, no anomalous dispersion.

Peak list (10 most intense, 5 to 70 degrees two-theta, sorted by position)
2θ = 20.15°, intensity 276; 2θ = 27.40°, intensity 454; 2θ = 29.15°, intensity 119; 2θ = 34.34°, intensity 146; 2θ = 37.01°, intensity 135; 2θ = 37.57°, intensity 1000; 2θ = 40.96°, intensity 860; 2θ = 42.13°, intensity 154; 2θ = 52.73°, intensity 211; 2θ = 65.47°, intensity 268

Crystal structure
a = 5.702 Å, b = 5.702 Å, c = 7.289 Å
α = 112.94°, β = 112.94°, γ = 60.03°
Positions (direct):
Y 0.212 0.212 0.133
Y 0.788 0.788 0.867
Be 0.000 0.000 0.500
Ge 0.500 0.500 0.000
Pt 0.240 0.240 0.709
Pt 0.240 0.728 0.708
Pt 0.272 0.760 0.292
Pt 0.728 0.240 0.708
Pt 0.760 0.272 0.292
Pt 0.760 0.760 0.291

***

(5)
Structure and calculated PXRD pattern of Pu2Be2Ge3 (a GGA-PBE-relaxed structure; CuKα).
Neutral-atom scattering factors, no anomalous dispersion.

Peak list (10 most intense, 5 to 70 degrees two-theta, sorted by position)
2θ = 21.53°, intensity 282; 2θ = 24.10°, intensity 424; 2θ = 27.52°, intensity 312; 2θ = 29.25°, intensity 179; 2θ = 32.95°, intensity 179; 2θ = 35.20°, intensity 795; 2θ = 35.55°, intensity 1000; 2θ = 42.63°, intensity 285; 2θ = 46.64°, intensity 218; 2θ = 58.50°, intensity 183

Crystal structure
a = 9.230 Å, b = 9.230 Å, c = 6.483 Å
α = 90.00°, β = 90.00°, γ = 153.44°
Positions (direct):
Pu 0.047 0.953 0.750
Pu 0.166 0.834 0.250
Pu 0.834 0.166 0.750
Pu 0.953 0.047 0.250
Be 0.317 0.683 0.077
Be 0.317 0.683 0.423
Be 0.683 0.317 0.577
Be 0.683 0.317 0.923
Ge 0.217 0.783 0.750
Ge 0.432 0.568 0.559
Ge 0.432 0.568 0.941
Ge 0.568 0.432 0.059
Ge 0.568 0.432 0.441
Ge 0.783 0.217 0.250

***

(6)
Structure and calculated PXRD pattern of BeReGe2 (a GGA-PBE-relaxed structure; CuKα).
Neutral-atom scattering factors, no anomalous dispersion.

Peak list (10 most intense, 5 to 70 degrees two-theta, sorted by position)
2θ = 10.68°, intensity 1000; 2θ = 35.39°, intensity 322; 2θ = 37.62°, intensity 39; 2θ = 39.21°, intensity 382; 2θ = 43.23°, intensity 231; 2θ = 43.72°, intensity 97; 2θ = 45.60°, intensity 59; 2θ = 50.92°, intensity 165; 2θ = 62.05°, intensity 112; 2θ = 63.16°, intensity 70

Crystal structure
a = 2.992 Å, b = 2.992 Å, c = 24.845 Å
α = 90.00°, β = 90.00°, γ = 120.00°
Positions (direct):
Be 0.000 0.000 0.000
Be 0.333 0.667 0.667
Be 0.667 0.333 0.333
Re 0.000 0.000 0.500
Re 0.333 0.667 0.167
Re 0.667 0.333 0.833
Ge 0.000 0.000 0.089
Ge 0.000 0.000 0.911
Ge 0.333 0.667 0.578
Ge 0.333 0.667 0.756
Ge 0.667 0.333 0.244
Ge 0.667 0.333 0.422

***

(7)
Structure and calculated PXRD pattern of BeReGe (a GGA-PBE-relaxed structure; CuKα).
Neutral-atom scattering factors, no anomalous dispersion.

Peak list (8 most intense, 5 to 70 degrees two-theta, sorted by position)
2θ = 24.32°, intensity 1000; 2θ = 34.29°, intensity 194; 2θ = 42.48°, intensity 833; 2θ = 42.80°, intensity 671; 2θ = 49.84°, intensity 150; 2θ = 55.95°, intensity 292; 2θ = 61.89°, intensity 275; 2θ = 67.75°, intensity 121

Crystal structure
a = 4.226 Å, b = 4.226 Å, c = 2.615 Å
α = 90.00°, β = 90.00°, γ = 120.00°
Positions (direct):
Be 0.000 0.000 0.000
Re 0.667 0.333 0.439
Ge 0.333 0.667 0.162

***

(8)
Structure and calculated PXRD pattern of BeGe2Rh2 (a GGA-PBE-relaxed structure; CuKα).
Neutral-atom scattering factors, no anomalous dispersion.

Peak list (10 most intense, 5 to 70 degrees two-theta, sorted by position)
2θ = 20.08°, intensity 220; 2θ = 28.55°, intensity 149; 2θ = 40.55°, intensity 1000; 2θ = 45.90°, intensity 184; 2θ = 49.64°, intensity 121; 2θ = 58.26°, intensity 39; 2θ = 59.10°, intensity 64; 2θ = 63.08°, intensity 99; 2θ = 66.73°, intensity 131; 2θ = 69.91°, intensity 102

Crystal structure
a = 6.253 Å, b = 6.253 Å, c = 3.673 Å
α = 90.00°, β = 90.00°, γ = 90.00°
Positions (direct):
Be 0.000 0.000 0.000
Be 0.500 0.500 0.000
Ge 0.150 0.350 0.500
Ge 0.350 0.850 0.500
Ge 0.650 0.150 0.500
Ge 0.850 0.650 0.500
Rh 0.161 0.661 0.000
Rh 0.339 0.161 0.000
Rh 0.661 0.839 0.000
Rh 0.839 0.339 0.000